No. 1
Starting from the PBE geometry in Alexandria, the powder XRD pattern of TlSbTe2 was simulated for λ = 1.5418 Å (Cu Kα).
Kinematic intensities with the Lorentz-polarization factor, no thermal factor.

Largest 10 diffraction maxima, in order of falling intensity, 2θ = 10–90°:
2θ/deg, I (rel.)
31.72, 100.0
25.64, 48.7
40.93, 41.3
52.69, 24.0
68.80, 21.5
23.29, 21.2
61.06, 17.6
49.70, 13.0
48.93, 8.4
43.25, 8.1

Structure:
Cell lengths 4.410, 4.410, 8.367 Å; angles 90.00, 90.00, 120.00 degrees
Sites, in units of the cell vectors:
Tl1 0.000 0.000 0.000
Sb1 0.000 0.000 0.500
Te1 0.333 0.667 0.714
Te2 0.667 0.333 0.286


No. 2
Starting from the PBE geometry in Alexandria, the powder XRD pattern of Tl2SbTe4 was simulated for λ = 1.5418 Å (Cu Kα).
Kinematic intensities with the Lorentz-polarization factor, no thermal factor.

Largest 10 diffraction maxima, in order of falling intensity, 2θ = 10–90°:
2θ/deg, I (rel.)
28.49, 100.0
40.75, 50.4
50.93, 13.2
49.97, 13.0
40.11, 12.7
41.25, 12.6
14.17, 12.4
66.73, 10.9
66.88, 10.3
12.12, 8.5

Structure:
Cell lengths 8.991, 12.505, 4.377 Å; angles 90.00, 90.00, 90.00 degrees
Sites, in units of the cell vectors:
Tl1 0.237 0.239 0.000
Tl2 0.263 0.739 0.000
Tl3 0.737 0.261 0.000
Tl4 0.763 0.761 0.000
Sb1 0.000 0.500 0.500
Sb2 0.500 0.000 0.500
Te1 0.011 0.748 0.500
Te2 0.244 0.493 0.000
Te3 0.256 0.993 0.000
Te4 0.489 0.248 0.500
Te5 0.511 0.752 0.500
Te6 0.744 0.007 0.000
Te7 0.756 0.507 0.000
Te8 0.989 0.252 0.500


No. 3
Starting from the PBE geometry in Alexandria, the powder XRD pattern of Y2Tl3SbTe6 was simulated for λ = 1.5418 Å (Cu Kα).
Kinematic intensities with the Lorentz-polarization factor, no thermal factor.

Largest 10 diffraction maxima, in order of falling intensity, 2θ = 10–90°:
2θ/deg, I (rel.)
27.28, 100.0
37.61, 37.4
40.28, 36.8
49.34, 19.6
65.51, 16.7
61.76, 13.9
56.29, 11.6
71.46, 11.3
29.47, 10.4
53.14, 7.5

Structure:
Cell lengths 7.757, 7.757, 8.504 Å; angles 98.74, 98.74, 120.03 degrees
Sites, in units of the cell vectors:
Y1 0.166 0.834 0.000
Y2 0.834 0.166 0.000
Tl1 0.000 0.000 0.500
Tl2 0.331 0.669 0.500
Tl3 0.669 0.331 0.500
Sb1 0.500 0.500 0.000
Te1 0.098 0.430 0.788
Te2 0.240 0.240 0.215
Te3 0.430 0.098 0.788
Te4 0.570 0.902 0.212
Te5 0.760 0.760 0.785
Te6 0.902 0.570 0.212


No. 4
Starting from the PBE geometry in Alexandria, the powder XRD pattern of Tm4SbTe4 was simulated for λ = 1.5418 Å (Cu Kα).
Kinematic intensities with the Lorentz-polarization factor, no thermal factor.

Largest 10 diffraction maxima, in order of falling intensity, 2θ = 10–90°:
2θ/deg, I (rel.)
29.27, 100.0
42.01, 55.6
29.53, 48.3
42.09, 36.9
68.94, 25.4
52.15, 19.8
41.76, 19.2
69.34, 16.9
76.74, 12.5
60.70, 12.5

Structure:
Cell lengths 7.471, 7.471, 10.567 Å; angles 118.66, 118.66, 33.49 degrees
Sites, in units of the cell vectors:
Tm1 0.098 0.098 0.402
Tm2 0.301 0.301 0.196
Tm3 0.699 0.699 0.804
Tm4 0.902 0.902 0.598
Sb1 0.500 0.500 0.500
Te1 0.099 0.099 0.902
Te2 0.304 0.304 0.705
Te3 0.696 0.696 0.295
Te4 0.901 0.901 0.098


No. 5
Starting from the PBE geometry in Alexandria, the powder XRD pattern of USbTe was simulated for λ = 1.5418 Å (Cu Kα).
Kinematic intensities with the Lorentz-polarization factor, no thermal factor.

Largest 10 diffraction maxima, in order of falling intensity, 2θ = 10–90°:
2θ/deg, I (rel.)
35.48, 100.0
30.95, 65.0
36.29, 61.0
41.91, 57.0
22.84, 42.0
29.30, 35.2
56.62, 34.5
29.54, 31.9
52.11, 26.2
72.39, 26.0

Structure:
Cell lengths 4.311, 4.311, 9.073 Å; angles 90.00, 90.00, 90.00 degrees
Sites, in units of the cell vectors:
U1 0.250 0.250 0.228
U2 0.750 0.750 0.772
Sb1 0.250 0.750 0.500
Sb2 0.750 0.250 0.500
Te1 0.250 0.250 0.868
Te2 0.750 0.750 0.132


No. 6
Starting from the PBE geometry in Alexandria, the powder XRD pattern of SbTeW was simulated for λ = 1.5418 Å (Cu Kα).
Kinematic intensities with the Lorentz-polarization factor, no thermal factor.

Largest 10 diffraction maxima, in order of falling intensity, 2θ = 10–90°:
2θ/deg, I (rel.)
12.88, 100.0
32.51, 89.0
48.35, 24.5
41.05, 21.6
35.40, 20.9
40.35, 19.4
38.55, 19.3
28.43, 18.3
76.48, 17.1
38.32, 15.9

Structure:
Cell lengths 7.552, 7.552, 6.715 Å; angles 110.20, 110.20, 26.47 degrees
Sites, in units of the cell vectors:
Sb1 0.161 0.161 0.368
Sb2 0.839 0.839 0.632
Te1 0.403 0.403 0.187
Te2 0.597 0.597 0.813
W1 0.240 0.240 0.825
W2 0.760 0.760 0.175


No. 7
Starting from the PBE geometry in Alexandria, the powder XRD pattern of SbTe2W was simulated for λ = 1.5418 Å (Cu Kα).
Kinematic intensities with the Lorentz-polarization factor, no thermal factor.

Largest 10 diffraction maxima, in order of falling intensity, 2θ = 10–90°:
2θ/deg, I (rel.)
33.09, 100.0
39.00, 48.0
39.25, 28.7
46.72, 26.5
66.92, 25.9
56.34, 16.4
71.32, 14.3
18.33, 14.0
76.13, 12.5
84.42, 10.3

Structure:
Cell lengths 3.266, 3.266, 9.678 Å; angles 90.00, 90.00, 90.00 degrees
Sites, in units of the cell vectors:
Sb1 0.000 0.000 0.000
Te1 0.000 0.000 0.649
Te2 0.500 0.500 0.307
W1 0.500 0.500 0.816


No. 8
Starting from the PBE geometry in Alexandria, the powder XRD pattern of Y4SbTe3 was simulated for λ = 1.5418 Å (Cu Kα).
Kinematic intensities with the Lorentz-polarization factor, no thermal factor.

Largest 10 diffraction maxima, in order of falling intensity, 2θ = 10–90°:
2θ/deg, I (rel.)
28.91, 100.0
41.35, 74.7
67.86, 33.4
51.24, 26.4
75.39, 24.5
59.90, 12.3
89.83, 8.1
24.97, 4.2
48.91, 2.2
65.92, 0.9

Structure:
Cell lengths 6.177, 6.177, 6.177 Å; angles 90.00, 90.00, 90.00 degrees
Sites, in units of the cell vectors:
Y1 0.000 0.000 0.000
Y2 0.000 0.500 0.500
Y3 0.500 0.000 0.500
Y4 0.500 0.500 0.000
Sb1 0.500 0.500 0.500
Te1 0.000 0.000 0.500
Te2 0.000 0.500 0.000
Te3 0.500 0.000 0.000